Record 1
Ni2Pt: calculated PXRD pattern (a wavelength of 1.5418 Å), based on a cell relaxed with GGA-PBE.

Peak list (10 most intense, 10 to 90 degrees two-theta, low angle first)
- 5.168 Å, 17.16 deg, rel. 15
- 4.277 Å, 20.77 deg, rel. 12
- 2.139 Å, 42.24 deg, rel. 100
- 1.882 Å, 48.35 deg, rel. 19
- 1.881 Å, 48.40 deg, rel. 17
- 1.799 Å, 50.74 deg, rel. 14
- 1.330 Å, 70.83 deg, rel. 12
- 1.301 Å, 72.70 deg, rel. 14
- 1.130 Å, 86.04 deg, rel. 18
- 1.093 Å, 89.66 deg, rel. 11

Cell and atoms:
```
Ni2Pt
1.0
3.761 -3.764 0.000
3.761 3.764 0.000
-1.873 0.000 5.398
Ni Pt
8 4
Direct
0.000 0.000 0.000
0.000 0.478 0.000
0.173 0.157 0.673
0.522 0.000 0.000
0.522 0.478 0.000
0.683 0.156 0.669
0.843 0.827 0.327
0.844 0.317 0.331
0.178 0.661 0.683
0.339 0.822 0.317
0.341 0.316 0.322
0.684 0.659 0.678
```

***

Record 2
TiAs2SeN: calculated PXRD pattern (a wavelength of 1.5418 Å), based on a cell relaxed with GGA-PBE.

Peak list (10 most intense, 10 to 90 degrees two-theta, low angle first)
- 4.425 Å, 20.06 deg, rel. 3
- 4.270 Å, 20.80 deg, rel. 6
- 2.494 Å, 36.01 deg, rel. 100
- 2.213 Å, 40.78 deg, rel. 21
- 2.135 Å, 42.34 deg, rel. 38
- 1.536 Å, 60.24 deg, rel. 25
- 1.510 Å, 61.42 deg, rel. 12
- 1.325 Å, 71.13 deg, rel. 13
- 1.291 Å, 73.31 deg, rel. 24
- 1.247 Å, 76.37 deg, rel. 12

Cell and atoms:
```
TiAs2SeN
1.0
4.270 0.000 0.000
0.000 4.270 0.000
0.000 0.000 4.425
Ti As Se N
1 2 1 1
Direct
0.000 0.000 0.000
0.000 0.500 0.500
0.500 0.000 0.500
0.500 0.500 0.000
0.500 0.500 0.500
```